Calculated X-ray diffraction stick pattern
Compound: NiS3Cl
Radiation: Cu Kα (weighted mean of Kα1 and Kα2)
Structure: a DFT-relaxed cell (GGA-PBE, Alexandria)
No peak broadening, texture or thermal motion is included.

Cell: 6.226 3.707 10.076 Å, 90.00 92.71 90.00°
Fractional coordinates of all 10 atoms:
Ni 0.183 0.000 0.225
Ni 0.817 0.500 0.775
S 0.218 0.395 0.398
S 0.326 0.529 0.111
S 0.451 0.672 0.298
S 0.549 0.172 0.702
S 0.674 0.029 0.889
S 0.782 0.895 0.602
Cl 0.156 0.552 0.841
Cl 0.844 0.052 0.159

Main lines, by angle (10 to 80 degrees two-theta):
two_theta  I (rel.)  h k l
16.4  100  1 0 -1
17.1  63  1 0 1
17.6  84  0 0 2
29.2  50  1 1 -1
29.6  29  1 1 1
32.9  37  1 1 -2
36.1  33  0 1 3
45.4  25  1 1 -4